1.
# ScRh3C
Simulated PXRD pattern, λ = 1.5418 Å (Cu Kα). Input: a structure optimized by DFT (PBE).
No peak broadening, texture or thermal motion is included.

Top 10 peaks for 10° ≤ 2θ ≤ 90°, sorted by position:
d 4.106, 21.64°, I = 14; d 2.904, 30.79°, I = 5; d 2.371, 37.95°, I = 100; d 2.053, 44.11°, I = 54; d 1.836, 49.64°, I = 6; d 1.676, 54.75°, I = 2; d 1.452, 64.14°, I = 34; d 1.369, 68.55°, I = 3; d 1.238, 77.02°, I = 36; d 1.185, 81.13°, I = 11

Structural model:
Unit cell a=4.106 b=4.106 c=4.106 alpha=90.00 beta=90.00 gamma=90.00
Sites, in units of the cell vectors:
Sc 0.000 0.000 0.000
Rh 0.000 0.500 0.500
Rh 0.500 0.000 0.500
Rh 0.500 0.500 0.000
C 0.500 0.500 0.500

2.
# Sc3RhC4
Simulated PXRD pattern, λ = 1.5418 Å (Cu Kα). Input: a structure optimized by DFT (PBE).
No peak broadening, texture or thermal motion is included.

Top 10 peaks for 10° ≤ 2θ ≤ 90°, sorted by position:
d 6.144, 14.42°, I = 36; d 4.219, 21.06°, I = 25; d 2.620, 34.23°, I = 15; d 2.483, 36.17°, I = 100; d 2.246, 40.15°, I = 20; d 2.156, 41.90°, I = 18; d 2.048, 44.22°, I = 14; d 2.034, 44.54°, I = 33; d 1.704, 53.78°, I = 28; d 1.337, 70.41°, I = 33

Structural model:
Unit cell a=6.760 b=6.760 c=6.760 alpha=150.81 beta=141.19 gamma=49.29
Sites, in units of the cell vectors:
Sc 0.000 0.000 0.000
Sc 0.311 0.811 0.500
Sc 0.689 0.189 0.500
Rh 0.500 0.500 0.000
C 0.032 0.371 0.660
C 0.289 0.629 0.660
C 0.711 0.371 0.340
C 0.968 0.629 0.340

3.
# TmRh3C
Simulated PXRD pattern, λ = 1.5418 Å (Cu Kα). Input: a structure optimized by DFT (PBE).
No peak broadening, texture or thermal motion is included.

Top 10 peaks for 10° ≤ 2θ ≤ 90°, sorted by position:
d 4.162, 21.35°, I = 3; d 2.943, 30.37°, I = 6; d 2.403, 37.42°, I = 100; d 2.081, 43.48°, I = 53; d 1.861, 48.93°, I = 2; d 1.699, 53.96°, I = 2; d 1.472, 63.18°, I = 34; d 1.255, 75.80°, I = 38; d 1.202, 79.82°, I = 12; d 1.112, 87.74°, I = 1

Structural model:
Unit cell a=4.162 b=4.162 c=4.162 alpha=90.00 beta=90.00 gamma=90.00
Sites, in units of the cell vectors:
Tm 0.000 0.000 0.000
Rh 0.000 0.500 0.500
Rh 0.500 0.000 0.500
Rh 0.500 0.500 0.000
C 0.500 0.500 0.500

4.
# Tm8Rh5C12
Simulated PXRD pattern, λ = 1.5418 Å (Cu Kα). Input: a structure optimized by DFT (PBE).
No peak broadening, texture or thermal motion is included.

Top 10 peaks for 10° ≤ 2θ ≤ 90°, sorted by position:
d 3.345, 26.65°, I = 57; d 3.138, 28.44°, I = 39; d 2.768, 32.34°, I = 35; d 2.696, 33.23°, I = 37; d 2.613, 34.32°, I = 100; d 2.501, 35.91°, I = 70; d 2.467, 36.41°, I = 98; d 2.423, 37.11°, I = 59; d 2.402, 37.45°, I = 35; d 1.741, 52.57°, I = 42

Structural model:
Unit cell a=13.991 b=13.991 c=7.346 alpha=94.39 beta=94.39 gamma=14.29
Sites, in units of the cell vectors:
Tm 0.047 0.047 0.296
Tm 0.088 0.088 0.828
Tm 0.200 0.200 0.609
Tm 0.207 0.207 0.115
Tm 0.793 0.793 0.885
Tm 0.800 0.800 0.391
Tm 0.912 0.912 0.172
Tm 0.953 0.953 0.704
Rh 0.384 0.384 0.874
Rh 0.390 0.390 0.505
Rh 0.500 0.500 0.000
Rh 0.610 0.610 0.495
Rh 0.616 0.616 0.126
C 0.283 0.283 0.635
C 0.293 0.293 0.131
C 0.331 0.331 0.653
C 0.342 0.342 0.128
C 0.452 0.452 0.387
C 0.477 0.477 0.246
C 0.523 0.523 0.754
C 0.548 0.548 0.613
C 0.658 0.658 0.872
C 0.669 0.669 0.347
C 0.707 0.707 0.869
C 0.717 0.717 0.365

5.
# U2RhC2
Simulated PXRD pattern, λ = 1.5418 Å (Cu Kα). Input: a structure optimized by DFT (PBE).
No peak broadening, texture or thermal motion is included.

Top 10 peaks for 10° ≤ 2θ ≤ 90°, sorted by position:
d 3.332, 26.76°, I = 17; d 3.146, 28.37°, I = 13; d 2.667, 33.60°, I = 100; d 2.443, 36.79°, I = 52; d 2.097, 43.13°, I = 10; d 1.930, 47.09°, I = 14; d 1.728, 53.01°, I = 18; d 1.595, 57.81°, I = 10; d 1.591, 57.95°, I = 17; d 1.450, 64.24°, I = 33

Structural model:
Unit cell a=6.750 b=6.750 c=6.750 alpha=150.34 beta=150.34 gamma=42.44
Sites, in units of the cell vectors:
U 0.146 0.146 0.000
U 0.854 0.854 0.000
Rh 0.500 0.500 0.000
C 0.329 0.329 0.000
C 0.671 0.671 0.000

6.
# Rh2W2C
Simulated PXRD pattern, λ = 1.5418 Å (Cu Kα). Input: a structure optimized by DFT (PBE).
No peak broadening, texture or thermal motion is included.

Top 10 peaks for 10° ≤ 2θ ≤ 90°, sorted by position:
d 2.461, 36.51°, I = 5; d 2.390, 37.63°, I = 35; d 2.336, 38.55°, I = 100; d 2.034, 44.54°, I = 71; d 1.451, 64.19°, I = 23; d 1.426, 65.44°, I = 23; d 1.240, 76.86°, I = 13; d 1.225, 78.02°, I = 25; d 1.217, 78.59°, I = 13; d 1.168, 82.62°, I = 12

Structural model:
Unit cell a=9.702 b=9.702 c=9.702 alpha=16.91 beta=16.91 gamma=16.91
Sites, in units of the cell vectors:
Rh 0.122 0.122 0.122
Rh 0.878 0.878 0.878
W 0.376 0.376 0.376
W 0.624 0.624 0.624
C 0.500 0.500 0.500

7.
# YRh3C
Simulated PXRD pattern, λ = 1.5418 Å (Cu Kα). Input: a structure optimized by DFT (PBE).
No peak broadening, texture or thermal motion is included.

Top 7 peaks for 10° ≤ 2θ ≤ 90°, sorted by position:
d 4.189, 21.21°, I = 2; d 2.419, 37.18°, I = 100; d 2.095, 43.19°, I = 54; d 1.873, 48.60°, I = 1; d 1.481, 62.73°, I = 34; d 1.263, 75.23°, I = 37; d 1.209, 79.21°, I = 12

Structural model:
Unit cell a=4.189 b=4.189 c=4.189 alpha=90.00 beta=90.00 gamma=90.00
Sites, in units of the cell vectors:
Y 0.000 0.000 0.000
Rh 0.000 0.500 0.500
Rh 0.500 0.000 0.500
Rh 0.500 0.500 0.000
C 0.500 0.500 0.500

8.
# TmSiRu2C
Simulated PXRD pattern, λ = 1.5418 Å (Cu Kα). Input: a structure optimized by DFT (PBE).
No peak broadening, texture or thermal motion is included.

Top 10 peaks for 10° ≤ 2θ ≤ 90°, sorted by position:
d 3.187, 28.00°, I = 18; d 3.004, 29.74°, I = 37; d 2.645, 33.89°, I = 76; d 2.599, 34.50°, I = 41; d 2.520, 35.63°, I = 100; d 2.480, 36.23°, I = 37; d 2.186, 41.29°, I = 30; d 1.880, 48.43°, I = 27; d 1.594, 57.86°, I = 19; d 1.493, 62.16°, I = 28

Structural model:
Unit cell a=5.891 b=5.891 c=7.128 alpha=90.00 beta=90.00 gamma=142.79
Sites, in units of the cell vectors:
Tm 0.046 0.954 0.750
Tm 0.954 0.046 0.250
Si 0.232 0.768 0.250
Si 0.768 0.232 0.750
Ru 0.337 0.663 0.556
Ru 0.337 0.663 0.944
Ru 0.663 0.337 0.056
Ru 0.663 0.337 0.444
C 0.500 0.500 0.000
C 0.500 0.500 0.500